No. 1
Computed XRD peak list of La2GdSn3Pb4 for Cu Kα X-rays, from a PBE-relaxed structure.

Peak list (10 most intense, 2θ = 15–90°, in order of rising 2θ)
two_theta, intensity
31.80, 100
34.03, 17
37.67, 17
38.81, 16
51.66, 11
52.55, 10
55.19, 11
64.34, 14
65.89, 13
66.45, 10

```
data_La2GdSn3Pb4
_chemical_formula_sum 'La2 Gd1 Sn3 Pb4'
_space_group_name_H-M_alt 'P 1'
_space_group_IT_number 1
_cell_length_a 13.3772
_cell_length_b 13.3772
_cell_length_c 4.7760
_cell_angle_alpha 90.00
_cell_angle_beta 90.00
_cell_angle_gamma 160.02
loop_
_space_group_symop_operation_xyz
'x,y,z'
loop_
_atom_site_label
_atom_site_fract_x
_atom_site_fract_y
_atom_site_fract_z
La1 0.1871 0.8129 0.0000
La2 0.8129 0.1871 0.0000
Gd1 0.0000 0.0000 0.0000
Sn1 0.2888 0.7112 0.5000
Sn2 0.5000 0.5000 0.5000
Sn3 0.7112 0.2888 0.5000
Pb1 0.0946 0.9054 0.5000
Pb2 0.4066 0.5934 0.0000
Pb3 0.5934 0.4066 0.0000
Pb4 0.9054 0.0946 0.5000
```

***

No. 2
Computed XRD peak list of La2GdSn2Pb5 for Cu Kα X-rays, from a PBE-relaxed structure.

Peak list (10 most intense, 2θ = 15–90°, in order of rising 2θ)
two_theta, intensity
31.71, 100
33.91, 18
37.55, 17
38.71, 16
51.49, 11
55.03, 11
59.30, 11
64.13, 14
65.70, 13
66.25, 14

```
data_La2GdSn2Pb5
_chemical_formula_sum 'La2 Gd1 Sn2 Pb5'
_space_group_name_H-M_alt 'P 1'
_space_group_IT_number 1
_cell_length_a 13.4209
_cell_length_b 13.4209
_cell_length_c 4.7901
_cell_angle_alpha 90.00
_cell_angle_beta 90.00
_cell_angle_gamma 160.04
loop_
_space_group_symop_operation_xyz
'x,y,z'
loop_
_atom_site_label
_atom_site_fract_x
_atom_site_fract_y
_atom_site_fract_z
La1 0.1875 0.8125 0.0000
La2 0.8125 0.1875 0.0000
Gd1 0.0000 0.0000 0.0000
Sn1 0.2886 0.7114 0.5000
Sn2 0.7114 0.2886 0.5000
Pb1 0.0954 0.9046 0.5000
Pb2 0.4060 0.5940 0.0000
Pb3 0.5000 0.5000 0.5000
Pb4 0.5940 0.4060 0.0000
Pb5 0.9046 0.0954 0.5000
```

***

No. 3
Computed XRD peak list of LaGdSi4Pd2 for Cu Kα X-rays, from a PBE-relaxed structure.

Peak list (10 most intense, 2θ = 15–90°, in order of rising 2θ)
two_theta, intensity
20.90, 25
29.90, 48
30.38, 100
33.76, 81
33.92, 71
38.31, 30
42.56, 36
43.07, 35
55.81, 38
62.15, 23

```
data_LaGdSi4Pd2
_chemical_formula_sum 'La2 Gd2 Si8 Pd4'
_space_group_name_H-M_alt 'P 1'
_space_group_IT_number 1
_cell_length_a 4.2008
_cell_length_b 4.2488
_cell_length_c 17.0027
_cell_angle_alpha 90.00
_cell_angle_beta 90.00
_cell_angle_gamma 90.00
loop_
_space_group_symop_operation_xyz
'x,y,z'
loop_
_atom_site_label
_atom_site_fract_x
_atom_site_fract_y
_atom_site_fract_z
La1 0.0000 0.0000 0.0000
La2 0.0000 0.5000 0.5000
Gd1 0.5000 0.0000 0.7923
Gd2 0.5000 0.5000 0.2923
Si1 0.0000 0.0000 0.3605
Si2 0.0000 0.0000 0.6494
Si3 0.0000 0.5000 0.1494
Si4 0.0000 0.5000 0.8605
Si5 0.5000 0.0000 0.1481
Si6 0.5000 0.0000 0.4304
Si7 0.5000 0.5000 0.6481
Si8 0.5000 0.5000 0.9304
Pd1 0.0000 0.0000 0.2205
Pd2 0.0000 0.5000 0.7205
Pd3 0.5000 0.0000 0.5752
Pd4 0.5000 0.5000 0.0752
```